Entry 1:
Computed powder X-ray diffraction pattern
Compound: CuAg2
Radiation: a wavelength of 1.5418 Å
Structure: a PBE-relaxed structure
Neutral-atom scattering factors, no anomalous dispersion.

Structural model:
a = 4.9106 Å, b = 4.9106 Å, c = 11.6178 Å
α = 112.42°, β = 112.42°, γ = 33.93°
Positions (direct):
1 Cu 0.0000 0.0000 0.0000
2 Cu 0.5459 0.5459 0.2005
3 Cu 0.8794 0.8794 0.5452
4 Ag 0.1051 0.1051 0.4252
5 Ag 0.2266 0.2266 0.8843
6 Ag 0.3237 0.3237 0.3257
7 Ag 0.4400 0.4400 0.7696
8 Ag 0.6508 0.6508 0.6479
9 Ag 0.7733 0.7733 0.1039

The 6 most intense peaks (10 to 80 degrees two-theta), by angle:
2θ = 39.02°, 2.308 Å, rel. 100.0
2θ = 39.23°, 2.296 Å, rel. 32.9
2θ = 44.78°, 2.024 Å, rel. 44.7
2θ = 46.70°, 1.945 Å, rel. 18.9
2θ = 66.87°, 1.399 Å, rel. 12.1
2θ = 78.58°, 1.217 Å, rel. 15.1

=====

Entry 2:
Computed powder X-ray diffraction pattern
Compound: LaCo2GeB
Radiation: a wavelength of 1.5418 Å
Structure: a PBE-relaxed structure
Neutral-atom scattering factors, no anomalous dispersion.

Structural model:
a = 3.7530 Å, b = 3.7530 Å, c = 10.9477 Å
α = 90.00°, β = 90.00°, γ = 90.00°
Positions (direct):
1 La 0.0000 0.0000 0.0000
2 La 0.5000 0.5000 0.5000
3 Co 0.0000 0.5000 0.2786
4 Co 0.0000 0.5000 0.7786
5 Co 0.5000 0.0000 0.2786
6 Co 0.5000 0.0000 0.7786
7 Ge 0.0000 0.0000 0.6519
8 Ge 0.5000 0.5000 0.1519
9 B 0.0000 0.0000 0.3447
10 B 0.5000 0.5000 0.8447

The 6 most intense peaks (10 to 80 degrees two-theta), by angle:
2θ = 25.08°, 3.550 Å, rel. 49.6
2θ = 34.27°, 2.616 Å, rel. 99.0
2θ = 37.67°, 2.388 Å, rel. 100.0
2θ = 48.51°, 1.877 Å, rel. 45.1
2θ = 60.74°, 1.525 Å, rel. 36.8
2θ = 61.69°, 1.504 Å, rel. 27.6

=====

Entry 3:
Computed powder X-ray diffraction pattern
Compound: KZrCu3S4
Radiation: a wavelength of 1.5418 Å
Structure: a PBE-relaxed structure
Neutral-atom scattering factors, no anomalous dispersion.

Structural model:
a = 5.9712 Å, b = 5.9712 Å, c = 5.9712 Å
α = 90.00°, β = 90.00°, γ = 90.00°
Positions (direct):
1 K 0.0000 0.0000 0.0000
2 Zr 0.5000 0.5000 0.5000
3 Cu 0.0000 0.5000 0.5000
4 Cu 0.5000 0.0000 0.5000
5 Cu 0.5000 0.5000 0.0000
6 S 0.2712 0.2712 0.2712
7 S 0.2712 0.7288 0.7288
8 S 0.7288 0.2712 0.7288
9 S 0.7288 0.7288 0.2712

The 6 most intense peaks (10 to 80 degrees two-theta), by angle:
2θ = 14.84°, 5.971 Å, rel. 68.5
2θ = 25.84°, 3.447 Å, rel. 53.4
2θ = 29.93°, 2.986 Å, rel. 29.2
2θ = 33.56°, 2.670 Å, rel. 20.9
2θ = 42.84°, 2.111 Å, rel. 100.0
2θ = 78.47°, 1.219 Å, rel. 27.9

=====

Entry 4:
Computed powder X-ray diffraction pattern
Compound: Np2N3
Radiation: a wavelength of 1.5418 Å
Structure: a PBE-relaxed structure
Neutral-atom scattering factors, no anomalous dispersion.

Structural model:
a = 9.1241 Å, b = 9.1241 Å, c = 9.1241 Å
α = 109.47°, β = 109.47°, γ = 109.47°
Positions (direct):
1 Np 0.0000 0.0000 0.5000
2 Np 0.0000 0.5000 0.0000
3 Np 0.0229 0.7500 0.7729
4 Np 0.2271 0.9771 0.2500
5 Np 0.2500 0.2271 0.9771
6 Np 0.2500 0.7271 0.4771
7 Np 0.2729 0.5229 0.7500
8 Np 0.4771 0.2500 0.7271
9 Np 0.5000 0.0000 0.0000
10 Np 0.5000 0.5000 0.5000
11 Np 0.5229 0.7500 0.2729
12 Np 0.7271 0.4771 0.2500
13 Np 0.7500 0.2729 0.5229
14 Np 0.7500 0.7729 0.0229
15 Np 0.7729 0.0229 0.7500
16 Np 0.9771 0.2500 0.2271
17 N 0.0026 0.0297 0.2662
18 N 0.0270 0.4974 0.7636
19 N 0.0297 0.2662 0.0026
20 N 0.2338 0.2635 0.7364
21 N 0.2364 0.9730 0.5026
22 N 0.2365 0.4703 0.4730
23 N 0.2635 0.7364 0.2338
24 N 0.2636 0.7662 0.7365
25 N 0.2662 0.0026 0.0297
26 N 0.4703 0.4730 0.2365
27 N 0.4730 0.2365 0.4703
28 N 0.4974 0.7636 0.0270
29 N 0.5026 0.2364 0.9730
30 N 0.5270 0.7635 0.5297
31 N 0.5297 0.5270 0.7635
32 N 0.7338 0.9974 0.9703
33 N 0.7364 0.2338 0.2635
34 N 0.7365 0.2636 0.7662
35 N 0.7635 0.5297 0.5270
36 N 0.7636 0.0270 0.4974
37 N 0.7662 0.7365 0.2636
38 N 0.9703 0.7338 0.9974
39 N 0.9730 0.5026 0.2364
40 N 0.9974 0.9703 0.7338

The 6 most intense peaks (10 to 80 degrees two-theta), by angle:
2θ = 29.37°, 3.041 Å, rel. 100.0
2θ = 34.04°, 2.634 Å, rel. 41.9
2θ = 48.90°, 1.862 Å, rel. 39.4
2θ = 58.07°, 1.588 Å, rel. 39.0
2θ = 60.92°, 1.521 Å, rel. 9.7
2θ = 79.27°, 1.209 Å, rel. 13.6

=====

Entry 5:
Computed powder X-ray diffraction pattern
Compound: Ni3I
Radiation: a wavelength of 1.5418 Å
Structure: a PBE-relaxed structure
Neutral-atom scattering factors, no anomalous dispersion.

Structural model:
a = 6.0427 Å, b = 6.0427 Å, c = 6.0427 Å
α = 90.00°, β = 90.00°, γ = 90.00°
Positions (direct):
1 Ni 0.0000 0.0000 0.0000
2 Ni 0.0000 0.5000 0.5000
3 Ni 0.2500 0.2500 0.2500
4 Ni 0.2500 0.2500 0.7500
5 Ni 0.2500 0.7500 0.2500
6 Ni 0.2500 0.7500 0.7500
7 Ni 0.5000 0.0000 0.5000
8 Ni 0.5000 0.5000 0.0000
9 Ni 0.7500 0.2500 0.2500
10 Ni 0.7500 0.2500 0.7500
11 Ni 0.7500 0.7500 0.2500
12 Ni 0.7500 0.7500 0.7500
13 I 0.0000 0.0000 0.5000
14 I 0.0000 0.5000 0.0000
15 I 0.5000 0.0000 0.0000
16 I 0.5000 0.5000 0.5000

The 6 most intense peaks (10 to 80 degrees two-theta), by angle:
2θ = 25.53°, 3.489 Å, rel. 9.0
2θ = 29.57°, 3.021 Å, rel. 4.6
2θ = 42.30°, 2.136 Å, rel. 100.0
2θ = 50.06°, 1.822 Å, rel. 4.4
2θ = 61.37°, 1.511 Å, rel. 15.7
2θ = 77.37°, 1.233 Å, rel. 31.0

=====

Entry 6:
Computed powder X-ray diffraction pattern
Compound: Gd2ErSc3OsSe2
Radiation: a wavelength of 1.5418 Å
Structure: a PBE-relaxed structure
Neutral-atom scattering factors, no anomalous dispersion.

Structural model:
a = 3.9296 Å, b = 7.7122 Å, c = 7.7122 Å
α = 120.50°, β = 90.00°, γ = 90.00°
Positions (direct):
1 Gd 0.0000 0.2030 0.7970
2 Gd 0.0000 0.7970 0.2030
3 Er 0.0000 0.3977 0.3977
4 Sc 0.5000 0.0313 0.0313
5 Sc 0.5000 0.5593 0.8002
6 Sc 0.5000 0.8002 0.5593
7 Os 0.0000 0.7834 0.7834
8 Se 0.5000 0.1329 0.4639
9 Se 0.5000 0.4639 0.1329

The 6 most intense peaks (10 to 80 degrees two-theta), by angle:
2θ = 23.07°, 3.856 Å, rel. 35.0
2θ = 26.83°, 3.322 Å, rel. 33.4
2θ = 32.53°, 2.752 Å, rel. 78.6
2θ = 35.22°, 2.548 Å, rel. 55.9
2θ = 35.38°, 2.537 Å, rel. 100.0
2θ = 40.74°, 2.215 Å, rel. 37.8

=====

Entry 7:
Computed powder X-ray diffraction pattern
Compound: TbGdTl4Ni2
Radiation: a wavelength of 1.5418 Å
Structure: a PBE-relaxed structure
Neutral-atom scattering factors, no anomalous dispersion.

Structural model:
a = 7.5305 Å, b = 4.3707 Å, c = 10.7553 Å
α = 90.00°, β = 90.00°, γ = 90.00°
Positions (direct):
1 Tb 0.0000 0.0000 0.0000
2 Tb 0.0000 0.5000 0.5000
3 Gd 0.5000 0.0000 0.8615
4 Gd 0.5000 0.5000 0.3615
5 Tl 0.2029 0.0000 0.2891
6 Tl 0.2029 0.5000 0.7891
7 Tl 0.2965 0.0000 0.5722
8 Tl 0.2965 0.5000 0.0722
9 Tl 0.7035 0.0000 0.5722
10 Tl 0.7035 0.5000 0.0722
11 Tl 0.7971 0.0000 0.2891
12 Tl 0.7971 0.5000 0.7891
13 Ni 0.0000 0.0000 0.7181
14 Ni 0.0000 0.5000 0.2181
15 Ni 0.5000 0.0000 0.1436
16 Ni 0.5000 0.5000 0.6436

The 6 most intense peaks (10 to 80 degrees two-theta), by angle:
2θ = 32.30°, 2.772 Å, rel. 47.2
2θ = 32.47°, 2.757 Å, rel. 100.0
2θ = 34.48°, 2.601 Å, rel. 41.0
2θ = 39.62°, 2.275 Å, rel. 33.5
2θ = 40.41°, 2.232 Å, rel. 36.4
2θ = 41.29°, 2.186 Å, rel. 56.9

=====

Entry 8:
Computed powder X-ray diffraction pattern
Compound: Lu4Fe3Mo2N3
Radiation: a wavelength of 1.5418 Å
Structure: a PBE-relaxed structure
Neutral-atom scattering factors, no anomalous dispersion.

Structural model:
a = 5.4729 Å, b = 5.4729 Å, c = 15.1277 Å
α = 96.50°, β = 96.50°, γ = 58.24°
Positions (direct):
1 Lu 0.0394 0.7691 0.9200
2 Lu 0.1258 0.3246 0.4147
3 Lu 0.2309 0.9606 0.5800
4 Lu 0.3246 0.1258 0.9147
5 Lu 0.6754 0.8742 0.0853
6 Lu 0.7691 0.0394 0.4200
7 Lu 0.8742 0.6754 0.5853
8 Lu 0.9606 0.2309 0.0800
9 Fe 0.1237 0.8763 0.7500
10 Fe 0.1252 0.3814 0.7496
11 Fe 0.3814 0.1252 0.2496
12 Fe 0.6186 0.8748 0.7504
13 Fe 0.8748 0.6186 0.2504
14 Fe 0.8763 0.1237 0.2500
15 Mo 0.3240 0.5768 0.1774
16 Mo 0.4232 0.6760 0.3226
17 Mo 0.5768 0.3240 0.6774
18 Mo 0.6760 0.4232 0.8226
19 N 0.0000 0.5000 0.0000
20 N 0.1346 0.6831 0.4839
21 N 0.3169 0.8654 0.0161
22 N 0.5000 0.0000 0.5000
23 N 0.6831 0.1346 0.9839
24 N 0.8654 0.3169 0.5161

The 6 most intense peaks (10 to 80 degrees two-theta), by angle:
2θ = 23.16°, 3.841 Å, rel. 54.0
2θ = 32.82°, 2.728 Å, rel. 79.6
2θ = 34.19°, 2.623 Å, rel. 79.3
2θ = 36.39°, 2.469 Å, rel. 82.3
2θ = 38.29°, 2.351 Å, rel. 100.0
2θ = 42.36°, 2.134 Å, rel. 54.0

=====

Entry 9:
Computed powder X-ray diffraction pattern
Compound: SnPd3Au3
Radiation: a wavelength of 1.5418 Å
Structure: a PBE-relaxed structure
Neutral-atom scattering factors, no anomalous dispersion.

Structural model:
a = 5.6659 Å, b = 5.6659 Å, c = 13.9893 Å
α = 90.00°, β = 90.00°, γ = 120.00°
Positions (direct):
1 Sn 0.0000 0.0000 0.0000
2 Sn 0.3333 0.6667 0.8376
3 Sn 0.6667 0.3333 0.1624
4 Pd 0.0000 0.5000 0.0000
5 Pd 0.1676 0.3351 0.1682
6 Pd 0.1676 0.8324 0.1682
7 Pd 0.3351 0.1676 0.8318
8 Pd 0.5000 0.0000 0.0000
9 Pd 0.5000 0.5000 0.0000
10 Pd 0.6649 0.8324 0.1682
11 Pd 0.8324 0.1676 0.8318
12 Pd 0.8324 0.6649 0.8318
13 Au 0.0000 0.5000 0.5000
14 Au 0.1635 0.3270 0.6632
15 Au 0.1635 0.8365 0.6632
16 Au 0.3270 0.1635 0.3368
17 Au 0.5000 0.0000 0.5000
18 Au 0.5000 0.5000 0.5000
19 Au 0.6730 0.8365 0.6632
20 Au 0.8365 0.1635 0.3368
21 Au 0.8365 0.6730 0.3368

The 6 most intense peaks (10 to 80 degrees two-theta), by angle:
2θ = 38.62°, 2.332 Å, rel. 33.8
2θ = 38.90°, 2.315 Å, rel. 100.0
2θ = 45.14°, 2.008 Å, rel. 65.6
2θ = 65.56°, 1.424 Å, rel. 21.4
2θ = 65.95°, 1.416 Å, rel. 21.3
2θ = 79.11°, 1.211 Å, rel. 25.6

=====

Entry 10:
Computed powder X-ray diffraction pattern
Compound: ScTaSn2Pt2
Radiation: a wavelength of 1.5418 Å
Structure: a PBE-relaxed structure
Neutral-atom scattering factors, no anomalous dispersion.

Structural model:
a = 4.4619 Å, b = 8.9367 Å, c = 6.3188 Å
α = 90.00°, β = 90.00°, γ = 90.00°
Positions (direct):
1 Sc 0.0000 0.1230 0.0000
2 Sc 0.5000 0.8770 0.5000
3 Ta 0.0000 0.6254 0.9926
4 Ta 0.5000 0.3746 0.4926
5 Sn 0.0000 0.1212 0.5047
6 Sn 0.0000 0.6301 0.4857
7 Sn 0.5000 0.3699 0.9857
8 Sn 0.5000 0.8788 0.0047
9 Pt 0.0000 0.3852 0.7335
10 Pt 0.0000 0.8645 0.7573
11 Pt 0.5000 0.1355 0.2573
12 Pt 0.5000 0.6148 0.2335

The 6 most intense peaks (10 to 80 degrees two-theta), by angle:
2θ = 24.41°, 3.647 Å, rel. 50.5
2θ = 40.39°, 2.233 Å, rel. 100.0
2θ = 47.76°, 1.904 Å, rel. 24.7
2θ = 58.45°, 1.579 Å, rel. 16.8
2θ = 64.29°, 1.449 Å, rel. 9.9
2θ = 73.45°, 1.289 Å, rel. 33.8

=====

Entry 11:
Computed powder X-ray diffraction pattern
Compound: RbTaBr6
Radiation: a wavelength of 1.5418 Å
Structure: a PBE-relaxed structure
Neutral-atom scattering factors, no anomalous dispersion.

Structural model:
a = 7.2199 Å, b = 7.2199 Å, c = 12.9378 Å
α = 100.42°, β = 100.42°, γ = 56.17°
Positions (direct):
1 Rb 0.0857 0.9143 0.7500
2 Rb 0.9143 0.0857 0.2500
3 Ta 0.0000 0.5000 0.0000
4 Ta 0.5000 0.0000 0.5000
5 Br 0.0928 0.2048 0.5342
6 Br 0.1943 0.3802 0.8332
7 Br 0.2048 0.0928 0.0342
8 Br 0.3174 0.5282 0.1053
9 Br 0.3802 0.1943 0.3332
10 Br 0.4718 0.6826 0.3947
11 Br 0.5282 0.3174 0.6053
12 Br 0.6198 0.8057 0.6668
13 Br 0.6826 0.4718 0.8947
14 Br 0.7952 0.9072 0.9658
15 Br 0.8057 0.6198 0.1668
16 Br 0.9072 0.7952 0.4658

The 6 most intense peaks (10 to 80 degrees two-theta), by angle:
2θ = 15.78°, 5.616 Å, rel. 88.4
2θ = 17.03°, 5.205 Å, rel. 74.7
2θ = 30.08°, 2.970 Å, rel. 100.0
2θ = 30.64°, 2.918 Å, rel. 94.0
2θ = 30.98°, 2.886 Å, rel. 92.0
2θ = 46.77°, 1.942 Å, rel. 63.6

=====

Entry 12:
Computed powder X-ray diffraction pattern
Compound: In2Pt3Se2
Radiation: a wavelength of 1.5418 Å
Structure: a PBE-relaxed structure
Neutral-atom scattering factors, no anomalous dispersion.

Structural model:
a = 5.8766 Å, b = 5.8766 Å, c = 5.8766 Å
α = 59.53°, β = 59.53°, γ = 59.53°
Positions (direct):
1 In 0.0000 0.0000 0.0000
2 In 0.5000 0.5000 0.5000
3 Pt 0.0000 0.5000 0.5000
4 Pt 0.5000 0.0000 0.5000
5 Pt 0.5000 0.5000 0.0000
6 Se 0.2064 0.2064 0.2064
7 Se 0.7936 0.7936 0.7936

The 6 most intense peaks (10 to 80 degrees two-theta), by angle:
2θ = 18.43°, 4.815 Å, rel. 63.4
2θ = 36.06°, 2.491 Å, rel. 100.0
2θ = 37.35°, 2.408 Å, rel. 35.7
2θ = 37.72°, 2.385 Å, rel. 70.1
2θ = 43.73°, 2.070 Å, rel. 79.5
2θ = 47.83°, 1.902 Å, rel. 42.3

=====

Entry 13:
Computed powder X-ray diffraction pattern
Compound: LaHfBe2Si2
Radiation: a wavelength of 1.5418 Å
Structure: a PBE-relaxed structure
Neutral-atom scattering factors, no anomalous dispersion.

Structural model:
a = 3.8174 Å, b = 3.8174 Å, c = 8.0730 Å
α = 90.00°, β = 90.00°, γ = 120.00°
Positions (direct):
1 La 0.0000 0.0000 0.0000
2 Hf 0.0000 0.0000 0.5000
3 Be 0.3333 0.6667 0.2897
4 Be 0.6667 0.3333 0.7103
5 Si 0.3333 0.6667 0.7215
6 Si 0.6667 0.3333 0.2785

The 6 most intense peaks (10 to 80 degrees two-theta), by angle:
2θ = 22.02°, 4.037 Å, rel. 26.9
2θ = 26.97°, 3.306 Å, rel. 63.6
2θ = 35.09°, 2.558 Å, rel. 100.0
2θ = 47.64°, 1.909 Å, rel. 25.7
2θ = 53.13°, 1.724 Å, rel. 37.9
2θ = 60.53°, 1.530 Å, rel. 20.6